For Ba2TeI2, a structure optimized by DFT (PBE) gives the theoretical powder diffractogram in this record (Cu Kα (λ = 1.5418 Å)).
Neutral-atom scattering factors, no anomalous dispersion.

Main lines, in order of rising 2θ (2θ = 10–90°):
d_spacing  2θ (°)  I/Imax  hkl
6.322  14.01  33  1 1 -1
3.823  23.27  97  1 2 1
3.515  25.34  100  3 0 -2
3.238  27.55  99  2 2 1
2.890  30.94  33  2 1 2
2.669  33.58  48  4 2 -1
2.528  35.50  69  1 2 -3
2.514  35.71  28  2 2 -3
2.258  39.93  29  5 2 -1
2.020  44.88  27  3 4 -2

a = 12.703 Å, b = 9.870 Å, c = 8.869 Å
α = 90.00°, β = 108.57°, γ = 90.00°
Space group P2_1/c (No. 14)
Asymmetric unit:
Ba  0.001  0.121  0.273 x4
Ba  0.344  0.622  0.761 x4
Te  0.164  0.646  0.985 x4
I  0.160  0.116  0.003 x4
I  0.465  0.205  0.376 x4